Calculated XRD peak list of K2MnOF5 for Cu Kα, from the GGA+U geometry in Alexandria.

Peak list (10 most intense, 10° ≤ 2θ ≤ 90°, sorted by position)
| hkl | Position (°2θ) | I/Imax |
| --- | --- | --- |
| 1 0 0 | 14.46 | 100.0 |
| 0 2 1 | 26.28 | 42.4 |
| 0 0 2 | 29.09 | 12.5 |
| 1 2 -1 | 29.28 | 42.7 |
| 1 2 1 | 30.92 | 28.3 |
| 2 2 0 | 36.72 | 34.9 |
| 2 0 -2 | 39.20 | 26.3 |
| 2 0 2 | 44.09 | 15.0 |
| 0 4 0 | 44.50 | 23.1 |
| 2 4 0 | 54.09 | 11.1 |

```
data_K2MnOF5
_space_group_name_H-M_alt 'P 1'
_space_group_IT_number 1
_cell_length_a 6.1523
_cell_length_b 8.1430
_cell_length_c 6.1776
_cell_angle_alpha 90.00
_cell_angle_beta 96.42
_cell_angle_gamma 90.00
loop_
_space_group_symop_operation_xyz
'x,y,z'
loop_
_atom_site_label
_atom_site_type_symbol
_atom_site_fract_x
_atom_site_fract_y
_atom_site_fract_z
K1 K 0.0024 0.2500 0.4330
K2 K 0.4674 0.2500 0.9718
K3 K 0.5326 0.7500 0.0282
K4 K 0.9976 0.7500 0.5670
Mn1 Mn 0.5000 0.0000 0.5000
Mn2 Mn 0.5000 0.5000 0.5000
O1 O 0.0561 0.7500 0.0625
O2 O 0.9439 0.2500 0.9375
F1 F 0.2682 0.0199 0.6723
F2 F 0.2682 0.4801 0.6723
F3 F 0.3067 0.0366 0.2481
F4 F 0.3067 0.4634 0.2481
F5 F 0.4425 0.7500 0.4732
F6 F 0.5575 0.2500 0.5268
F7 F 0.6933 0.5366 0.7519
F8 F 0.6933 0.9634 0.7519
F9 F 0.7318 0.5199 0.3277
F10 F 0.7318 0.9801 0.3277
```